Diffraction record for NaV2Hg2O7. The PXRD pattern is calculated, not measured: it uses a crystal structure in Alexandria, relaxed with PBE+U and Cu Kα (λ = 1.5418 Å).
Kinematic intensities with the Lorentz-polarization factor, no thermal factor.

Structural model:
a = 5.8524 Å, b = 5.8524 Å, c = 23.3098 Å
α = 90.00°, β = 90.00°, γ = 120.00°
Space group R32 (No. 155, hexagonal axes)
Symmetry-distinct sites (fractional):
Na 0.0000 0.0000 0.0000 [3 per cell]
V 0.0000 0.0000 0.4226 [6 per cell]
Hg 0.0000 0.0000 0.2746 [6 per cell]
O 0.0000 0.0000 0.5000 [3 per cell]
O 0.0383 0.4111 0.2701 [18 per cell]

Largest 12 diffraction maxima, low angle first, 5 to 70 degrees two-theta:
d/Å  2θ/deg  intensity  hkl
7.770  11.4  58  0 0 3
4.953  17.9  37  1 0 1
4.648  19.1  81  0 1 2
3.885  22.9  38  0 0 6
3.824  23.3  71  1 0 4
2.926  30.6  100  1 1 0
2.783  32.2  70  1 0 7
2.337  38.5  31  1 1 6
2.324  38.7  29  0 2 4
2.017  45.0  32  0 2 7
1.690  54.3  41  3 0 0
1.660  55.3  29  2 1 7